Record 1
Calculated powder diffractogram
Compound: BaAgP
Radiation: Cu Kα X-rays
Structure: a GGA-PBE-relaxed structure
Peak positions follow from Bragg's law for the DFT cell and can differ from measured ones.

Crystal structure
```
data_BaAgP
_cell_length_a 4.5320
_cell_length_b 4.5320
_cell_length_c 9.0380
_cell_angle_alpha 90.00
_cell_angle_beta 90.00
_cell_angle_gamma 120.00
_space_group_name_H-M_alt 'P 63/m m c'
_space_group_IT_number 194
_space_group_name_Hall '-P 6c 2c'
loop_
_atom_site_label
_atom_site_fract_x
_atom_site_fract_y
_atom_site_fract_z
Ba1 0.0000 0.0000 0.0000
Ag1 0.3333 0.6667 0.2500
P1 0.3333 0.6667 0.7500
```

Largest 6 diffraction maxima, in order of falling intensity, 15 to 90 degrees two-theta:
(hkl)  2theta  I (rel.)
1 0 2  30.16  100
1 1 0  39.78  42
1 1 4  57.61  28
2 0 2  50.72  23
2 1 2  66.32  20
1 0 1  24.73  20

---

Record 2
Calculated powder diffractogram
Compound: Sc20O19
Radiation: Cu Kα X-rays
Structure: a GGA-PBE-relaxed structure
Peak positions follow from Bragg's law for the DFT cell and can differ from measured ones.

Crystal structure
```
data_Sc20O19
_cell_length_a 10.0203
_cell_length_b 10.0203
_cell_length_c 8.9580
_cell_angle_alpha 90.00
_cell_angle_beta 90.00
_cell_angle_gamma 90.00
_space_group_name_H-M_alt 'I 4/m'
_space_group_IT_number 87
_space_group_name_Hall '-I 4'
loop_
_atom_site_label
_atom_site_fract_x
_atom_site_fract_y
_atom_site_fract_z
Sc1 0.0000 0.0000 0.2496
Sc2 0.0000 0.5000 0.0000
Sc3 0.1002 0.7036 0.2491
Sc4 0.1010 0.1990 0.5000
Sc5 0.1007 0.2001 0.0000
O1 0.0000 0.0000 0.5000
O2 0.0000 0.5000 0.2500
O3 0.0991 0.2023 0.2514
O4 0.0991 0.6966 0.0000
O5 0.0991 0.7010 0.5000
```

Largest 6 diffraction maxima, in order of falling intensity, 15 to 90 degrees two-theta:
(hkl)  2theta  I (rel.)
2 4 0  40.26  100
6 2 0  58.24  57
3 1 2  34.68  48
3 1 6  69.59  19
6 2 4  73.17  17
0 0 8  86.98  8

---

Record 3
Calculated powder diffractogram
Compound: Dy
Radiation: Cu Kα X-rays
Structure: a GGA-PBE-relaxed structure
Peak positions follow from Bragg's law for the DFT cell and can differ from measured ones.

Crystal structure
```
data_Dy
_cell_length_a 3.5458
_cell_length_b 3.5458
_cell_length_c 11.4920
_cell_angle_alpha 90.00
_cell_angle_beta 90.00
_cell_angle_gamma 120.00
_space_group_name_H-M_alt 'P 63/m m c'
_space_group_IT_number 194
_space_group_name_Hall '-P 6c 2c'
loop_
_atom_site_label
_atom_site_fract_x
_atom_site_fract_y
_atom_site_fract_z
Dy1 0.0000 0.0000 0.0000
Dy2 0.3333 0.6667 0.2500
```

Largest 6 diffraction maxima, in order of falling intensity, 15 to 90 degrees two-theta:
(hkl)  2theta  I (rel.)
1 0 2  33.08  100
1 0 1  30.12  43
0 0 4  31.13  35
1 1 4  61.46  30
1 1 0  51.55  26
1 0 3  37.54  24

---

Record 4
Calculated powder diffractogram
Compound: La5Mg
Radiation: Cu Kα X-rays
Structure: a GGA-PBE-relaxed structure
Peak positions follow from Bragg's law for the DFT cell and can differ from measured ones.

Crystal structure
```
data_La5Mg
_cell_length_a 13.0493
_cell_length_b 3.7956
_cell_length_c 8.8848
_cell_angle_alpha 90.00
_cell_angle_beta 107.48
_cell_angle_gamma 90.00
_space_group_name_H-M_alt 'C 1 m 1'
_space_group_IT_number 8
_space_group_name_Hall 'C -2y'
loop_
_atom_site_label
_atom_site_fract_x
_atom_site_fract_y
_atom_site_fract_z
La1 0.0000 0.0000 0.0000
La2 0.0291 0.0000 0.6016
La3 0.1516 0.5000 0.3513
La4 0.3091 0.0000 0.7042
La5 0.3631 0.0000 0.2410
Mg1 0.2001 0.5000 0.9392
```

Largest 6 diffraction maxima, in order of falling intensity, 15 to 90 degrees two-theta:
(hkl)  2theta  I (rel.)
1 1 -2  31.00  100
3 1 0  31.96  89
4 0 -2  30.09  55
2 0 2  28.83  40
3 1 3  50.32  23
1 1 1  27.56  23

---

Copy entry 3 word for word.
Calculated powder diffractogram
Compound: Dy
Radiation: Cu Kα X-rays
Structure: a GGA-PBE-relaxed structure
Peak positions follow from Bragg's law for the DFT cell and can differ from measured ones.

Crystal structure
```
data_Dy
_cell_length_a 3.5458
_cell_length_b 3.5458
_cell_length_c 11.4920
_cell_angle_alpha 90.00
_cell_angle_beta 90.00
_cell_angle_gamma 120.00
_space_group_name_H-M_alt 'P 63/m m c'
_space_group_IT_number 194
_space_group_name_Hall '-P 6c 2c'
loop_
_atom_site_label
_atom_site_fract_x
_atom_site_fract_y
_atom_site_fract_z
Dy1 0.0000 0.0000 0.0000
Dy2 0.3333 0.6667 0.2500
```

Largest 6 diffraction maxima, in order of falling intensity, 15 to 90 degrees two-theta:
(hkl)  2theta  I (rel.)
1 0 2  33.08  100
1 0 1  30.12  43
0 0 4  31.13  35
1 1 4  61.46  30
1 1 0  51.55  26
1 0 3  37.54  24